(1)
For Y3Al5Pd, the GGA-PBE geometry in Alexandria gives the theoretical XRD peak list in this record (Cu Kα).

Principal peaks in the range 2θ = 5–70°, by intensity:
two_theta  I_rel
36.0  100
32.7  55
29.4  41
20.2  37
41.2  26
39.2  22
44.5  21
58.7  20

Cell and atoms:
```
data_Y3Al5Pd
_chemical_formula_sum 'Y3 Al5 Pd1'
_cell_length_a 7.0151
_cell_length_b 7.0151
_cell_length_c 4.3862
_cell_angle_alpha 90.00
_cell_angle_beta 90.00
_cell_angle_gamma 120.00
_symmetry_space_group_name_H-M 'P -6 2 m'
_symmetry_Int_Tables_number 189
_symmetry_space_group_name_Hall 'P -6 -2'
loop_
_atom_site_label
_atom_site_type_symbol
_atom_site_fract_x
_atom_site_fract_y
_atom_site_fract_z
Y1 Y 0.0000 0.4158 0.0000
Al1 Al 0.0000 0.7660 0.5000
Al2 Al 0.3333 0.6667 0.5000
Pd1 Pd 0.0000 0.0000 0.0000
```

***

(2)
For Y11Al9Pd4, the GGA-PBE geometry in Alexandria gives the theoretical XRD peak list in this record (Cu Kα).

Principal peaks in the range 2θ = 5–70°, by intensity:
two_theta  I_rel
35.4  100
35.5  97
35.7  67
37.8  63
7.5  49
19.2  42
33.7  33
16.6  29

Cell and atoms:
```
data_Y11Al9Pd4
_chemical_formula_sum 'Y22 Al18 Pd8'
_cell_length_a 14.168
_cell_length_b 21.390
_cell_length_c 3.607
_cell_angle_alpha 90.00
_cell_angle_beta 90.00
_cell_angle_gamma 90.00
_symmetry_space_group_name_H-M 'C m m m'
_symmetry_Int_Tables_number 65
_symmetry_space_group_name_Hall '-C 2 2'
loop_
_atom_site_label
_atom_site_type_symbol
_atom_site_fract_x
_atom_site_fract_y
_atom_site_fract_z
Y1 Y 0.000 0.000 0.000
Y2 Y 0.000 0.163 0.000
Y3 Y 0.000 0.371 0.000
Y4 Y 0.197 0.500 0.000
Y5 Y 0.236 0.174 0.000
Al1 Al 0.000 0.500 0.500
Al2 Al 0.101 0.266 0.500
Al3 Al 0.145 0.070 0.500
Pd1 Pd 0.156 0.398 0.500
```

***

(3)
For Y3Al2Pd4, the GGA-PBE geometry in Alexandria gives the theoretical XRD peak list in this record (Cu Kα).

Principal peaks in the range 2θ = 5–70°, by intensity:
two_theta  I_rel
38.4  100
39.5  92
42.1  59
34.2  55
25.3  55
38.8  46
24.4  41
41.9  30

Cell and atoms:
```
data_Y3Al2Pd4
_chemical_formula_sum 'Y6 Al4 Pd8'
_cell_length_a 10.011
_cell_length_b 4.288
_cell_length_c 8.734
_cell_angle_alpha 90.00
_cell_angle_beta 96.66
_cell_angle_gamma 90.00
_symmetry_space_group_name_H-M 'C 1 2/m 1'
_symmetry_Int_Tables_number 12
_symmetry_space_group_name_Hall '-C 2y'
loop_
_atom_site_label
_atom_site_type_symbol
_atom_site_fract_x
_atom_site_fract_y
_atom_site_fract_z
Y1 Y 0.000 0.000 0.000
Y2 Y 0.125 0.500 0.385
Al1 Al 0.177 0.500 0.790
Pd1 Pd 0.087 0.000 0.637
Pd2 Pd 0.216 0.500 0.091
```

***

(4)
For Y3Al6Pd20, the GGA-PBE geometry in Alexandria gives the theoretical XRD peak list in this record (Cu Kα).

Principal peaks in the range 2θ = 5–70°, by intensity:
two_theta  I_rel
37.5  100
43.0  33
41.0  26
63.4  23
35.3  22
32.1  17
43.6  16
64.8  14

Cell and atoms:
```
data_Y3Al6Pd20
_chemical_formula_sum 'Y12 Al24 Pd80'
_cell_length_a 12.455
_cell_length_b 12.455
_cell_length_c 12.455
_cell_angle_alpha 90.00
_cell_angle_beta 90.00
_cell_angle_gamma 90.00
_symmetry_space_group_name_H-M 'F m -3 m'
_symmetry_Int_Tables_number 225
_symmetry_space_group_name_Hall '-F 4 2 3'
loop_
_atom_site_label
_atom_site_type_symbol
_atom_site_fract_x
_atom_site_fract_y
_atom_site_fract_z
Y1 Y 0.000 0.000 0.000
Y2 Y 0.250 0.250 0.250
Al1 Al 0.000 0.000 0.273
Pd1 Pd 0.000 0.172 0.172
Pd2 Pd 0.120 0.120 0.380
```

***

(5)
For Y2Al5Pd3, the GGA-PBE geometry in Alexandria gives the theoretical XRD peak list in this record (Cu Kα).

Principal peaks in the range 2θ = 5–70°, by intensity:
two_theta  I_rel
33.6  100
42.5  73
22.6  58
33.3  37
36.0  31
39.1  29
53.2  28
33.1  27

Cell and atoms:
```
data_Y2Al5Pd3
_chemical_formula_sum 'Y8 Al20 Pd12'
_cell_length_a 10.257
_cell_length_b 12.760
_cell_length_c 5.714
_cell_angle_alpha 90.00
_cell_angle_beta 90.00
_cell_angle_gamma 90.00
_symmetry_space_group_name_H-M 'I b a m'
_symmetry_Int_Tables_number 72
_symmetry_space_group_name_Hall '-I 2 2c'
loop_
_atom_site_label
_atom_site_type_symbol
_atom_site_fract_x
_atom_site_fract_y
_atom_site_fract_z
Y1 Y 0.222 0.146 0.000
Al1 Al 0.000 0.000 0.250
Al2 Al 0.000 0.292 0.250
Al3 Al 0.172 0.409 0.000
Pd1 Pd 0.000 0.500 0.250
Pd2 Pd 0.094 0.144 0.500
```

***

(6)
For YAl6Pd3, the GGA-PBE geometry in Alexandria gives the theoretical XRD peak list in this record (Cu Kα).

Principal peaks in the range 2θ = 5–70°, by intensity:
two_theta  I_rel
29.1  100
38.7  94
19.7  90
42.2  84
39.5  63
39.0  56
43.6  55
40.0  52

Cell and atoms:
```
data_YAl6Pd3
_chemical_formula_sum 'Y2 Al12 Pd6'
_cell_length_a 6.919
_cell_length_b 6.720
_cell_length_c 8.401
_cell_angle_alpha 90.00
_cell_angle_beta 118.68
_cell_angle_gamma 90.00
_symmetry_space_group_name_H-M 'P 1 21/c 1'
_symmetry_Int_Tables_number 14
_symmetry_space_group_name_Hall '-P 2ybc'
loop_
_atom_site_label
_atom_site_type_symbol
_atom_site_fract_x
_atom_site_fract_y
_atom_site_fract_z
Y1 Y 0.000 0.000 0.000
Al1 Al 0.146 0.027 0.675
Al2 Al 0.265 0.685 0.877
Al3 Al 0.463 0.190 0.259
Pd1 Pd 0.204 0.173 0.405
Pd2 Pd 0.500 0.000 0.000
```

***

Question: Number 1 is which compound?
Answer: Y3Al5Pd